For Ta3Mo2, a cell relaxed with PBE gives the simulated powder diffraction line list in this record (Cu Kα X-rays).
Lines closer than 0.1° are merged.

Cell and atoms:
```
data_Ta3Mo2
_space_group_name_H-M_alt 'F m m m'
_space_group_IT_number 69
_space_group_name_Hall '-F 2 2'
_cell_length_a 3.2478
_cell_length_b 4.7162
_cell_length_c 22.4480
_cell_angle_alpha 90.00
_cell_angle_beta 90.00
_cell_angle_gamma 90.00
loop_
_atom_site_label
_atom_site_fract_x
_atom_site_fract_y
_atom_site_fract_z
Ta1 0.0000 0.0000 0.0000
Ta2 0.0000 0.0000 0.1971
Mo1 0.0000 0.0000 0.4011
```

Top 8 peaks for 2θ from 10° to 90°, sorted by position:
| 2θ (°) | I (rel.) | hkl |
| --- | --- | --- |
| 38.16 | 27 | 0 2 0 |
| 39.20 | 100 | 1 1 5 |
| 40.17 | 23 | 0 0 10 |
| 56.63 | 25 | 2 0 0 |
| 69.67 | 18 | 1 3 5 |
| 70.40 | 9 | 2 2 0 |
| 72.35 | 16 | 1 1 15 |
| 84.28 | 11 | 2 2 10 |

For Ta2Mo3, a cell relaxed with PBE gives the simulated powder diffraction line list in this record (Cu Kα X-rays).
Lines closer than 0.1° are merged.

Cell and atoms:
```
data_Ta2Mo3
_space_group_name_H-M_alt 'F m m m'
_space_group_IT_number 69
_space_group_name_Hall '-F 2 2'
_cell_length_a 3.2135
_cell_length_b 4.6191
_cell_length_c 22.4710
_cell_angle_alpha 90.00
_cell_angle_beta 90.00
_cell_angle_gamma 90.00
loop_
_atom_site_label
_atom_site_fract_x
_atom_site_fract_y
_atom_site_fract_z
Ta1 0.0000 0.0000 0.1008
Mo1 0.0000 0.0000 0.2984
Mo2 0.0000 0.0000 0.5000
```

Top 8 peaks for 2θ from 10° to 90°, sorted by position:
| 2θ (°) | I (rel.) | hkl |
| --- | --- | --- |
| 39.00 | 26 | 0 2 0 |
| 39.62 | 100 | 1 1 5 |
| 40.13 | 24 | 0 0 10 |
| 57.20 | 17 | 0 2 10 |
| 71.06 | 18 | 1 3 5 |
| 71.54 | 9 | 2 2 0 |
| 72.57 | 17 | 1 1 15 |
| 85.33 | 11 | 2 2 10 |

For TaMo4, a cell relaxed with PBE gives the simulated powder diffraction line list in this record (Cu Kα X-rays).
Lines closer than 0.1° are merged.

Cell and atoms:
```
data_TaMo4
_space_group_name_H-M_alt 'F m m m'
_space_group_IT_number 69
_space_group_name_Hall '-F 2 2'
_cell_length_a 3.1902
_cell_length_b 4.5437
_cell_length_c 22.3957
_cell_angle_alpha 90.00
_cell_angle_beta 90.00
_cell_angle_gamma 90.00
loop_
_atom_site_label
_atom_site_fract_x
_atom_site_fract_y
_atom_site_fract_z
Ta1 0.0000 0.0000 0.0000
Mo1 0.0000 0.0000 0.2007
Mo2 0.0000 0.0000 0.3976
```

Top 8 peaks for 2θ from 10° to 90°, sorted by position:
| 2θ (°) | I (rel.) | hkl |
| --- | --- | --- |
| 39.67 | 26 | 0 2 0 |
| 39.97 | 100 | 1 1 5 |
| 40.27 | 24 | 0 0 10 |
| 57.81 | 25 | 2 0 0 |
| 72.19 | 17 | 1 3 5 |
| 72.39 | 9 | 2 2 0 |
| 73.00 | 17 | 1 1 15 |
| 86.24 | 11 | 2 2 10 |